Structure and computed X-ray powder pattern of La3YSn12 (DFT lattice parameters and positions (PBE); CuKα).
Kinematic intensities with the Lorentz-polarization factor, no thermal factor.

Cell and atoms:
```
data_La3YSn12
_chemical_formula_sum 'La3 Y1 Sn12'
_space_group_name_H-M_alt 'P 4/m m m'
_space_group_IT_number 123
_space_group_name_Hall '-P 4 2'
_cell_length_a 4.7904
_cell_length_b 4.7904
_cell_length_c 19.0772
_cell_angle_alpha 90.00
_cell_angle_beta 90.00
_cell_angle_gamma 90.00
loop_
_atom_site_label
_atom_site_fract_x
_atom_site_fract_y
_atom_site_fract_z
La1 0.0000 0.0000 0.0000
La2 0.0000 0.0000 0.2526
Y1 0.0000 0.0000 0.5000
Sn1 0.0000 0.5000 0.1266
Sn2 0.0000 0.5000 0.3796
Sn3 0.5000 0.5000 0.0000
Sn4 0.5000 0.5000 0.2532
Sn5 0.5000 0.5000 0.5000
```

Main lines, sorted by position (2θ from 5° to 70°):
- 2θ = 32.42°, rel. 1000, (1 1 4)
- 2θ = 37.55°, rel. 340, (2 0 0)
- 2θ = 37.72°, rel. 164, (0 0 8)
- 2θ = 54.15°, rel. 120, (2 2 0)
- 2θ = 54.28°, rel. 234, (2 0 8)
- 2θ = 64.55°, rel. 286, (3 1 4)
- 2θ = 64.78°, rel. 137, (1 1 12)
- 2θ = 67.88°, rel. 122, (2 2 8)